Entry 1:
This entry pairs a crystal structure of Pa6CoTc3 with its theoretical powder XRD pattern. Radiation: Cu Kα (weighted mean of Kα1 and Kα2). Structure: a structure optimized by DFT (GGA-PBE).
Intensities are scaled so that the largest is 100.

Structure:
```
data_Pa6CoTc3
_cell_length_a 6.7424
_cell_length_b 6.9825
_cell_length_c 11.4430
_cell_angle_alpha 90.00
_cell_angle_beta 124.42
_cell_angle_gamma 90.00
_space_group_name_H-M_alt 'P 1 21/c 1'
_space_group_IT_number 14
_space_group_name_Hall '-P 2ybc'
loop_
_atom_site_label
_atom_site_type_symbol
_atom_site_fract_x
_atom_site_fract_y
_atom_site_fract_z
_atom_site_occupancy
Pa1 Pa 0.0467 0.0259 0.2551 1
Pa2 Pa 0.1910 0.6482 0.0526 1
Pa3 Pa 0.4255 0.1776 0.0848 1
Co1 Co 0.5000 0.0000 0.5000 1
Tc1 Tc 0.0000 0.0000 0.0000 1
Tc2 Tc 0.3275 0.1721 0.7938 1
```

Peak list (8 most intense, 2θ from 10° to 90°, low angle first)
2θ/deg  intensity
29.43  56
30.22  54
31.73  100
33.63  40
38.52  43
41.03  53
42.26  44
56.72  41

=====

Entry 2:
This entry pairs a crystal structure of In3Hg5I4 with its theoretical powder XRD pattern. Radiation: Cu Kα (weighted mean of Kα1 and Kα2). Structure: a structure optimized by DFT (GGA-PBE).
Intensities are scaled so that the largest is 100.

Structure:
```
data_In3Hg5I4
_cell_length_a 18.3844
_cell_length_b 5.5272
_cell_length_c 11.6331
_cell_angle_alpha 90.00
_cell_angle_beta 123.36
_cell_angle_gamma 90.00
_space_group_name_H-M_alt 'C 1 2/m 1'
_space_group_IT_number 12
_space_group_name_Hall '-C 2y'
loop_
_atom_site_label
_atom_site_type_symbol
_atom_site_fract_x
_atom_site_fract_y
_atom_site_fract_z
_atom_site_occupancy
In1 In 0.0000 0.0000 0.0000 1
In2 In 0.1507 0.5000 0.8282 1
Hg1 Hg 0.0000 0.5000 0.0000 1
Hg2 Hg 0.0908 0.5000 0.5201 1
Hg3 Hg 0.2481 0.5000 0.4865 1
I1 I 0.0014 0.0000 0.7291 1
I2 I 0.2273 0.5000 0.1660 1
```

Peak list (8 most intense, 2θ from 10° to 90°, low angle first)
2θ/deg  intensity
18.25  75
22.60  52
23.19  86
29.97  65
30.35  48
30.86  81
32.40  100
45.35  57

=====

Entry 3:
This entry pairs a crystal structure of SrAlAsN2 with its theoretical powder XRD pattern. Radiation: Cu Kα (weighted mean of Kα1 and Kα2). Structure: a structure optimized by DFT (GGA-PBE).
Intensities are scaled so that the largest is 100.

Structure:
```
data_SrAlAsN2
_cell_length_a 4.2650
_cell_length_b 4.2650
_cell_length_c 6.6012
_cell_angle_alpha 90.00
_cell_angle_beta 90.00
_cell_angle_gamma 90.00
_space_group_name_H-M_alt 'P 4/m m m'
_space_group_IT_number 123
_space_group_name_Hall '-P 4 2'
loop_
_atom_site_label
_atom_site_type_symbol
_atom_site_fract_x
_atom_site_fract_y
_atom_site_fract_z
_atom_site_occupancy
Sr1 Sr 0.0000 0.0000 0.0000 1
Al1 Al 0.0000 0.0000 0.5000 1
As1 As 0.5000 0.5000 0.5000 1
N1 N 0.0000 0.5000 0.0000 1
```

Peak list (8 most intense, 2θ from 10° to 90°, low angle first)
2θ/deg  intensity
24.85  100
27.01  53
29.62  45
40.52  40
42.39  30
46.44  18
49.76  30
50.99  33

=====

Entry 4:
This entry pairs a crystal structure of CuGeN with its theoretical powder XRD pattern. Radiation: Cu Kα (weighted mean of Kα1 and Kα2). Structure: a structure optimized by DFT (GGA-PBE).
Intensities are scaled so that the largest is 100.

Structure:
```
data_CuGeN
_cell_length_a 10.3195
_cell_length_b 3.1107
_cell_length_c 6.4878
_cell_angle_alpha 90.00
_cell_angle_beta 124.54
_cell_angle_gamma 90.00
_space_group_name_H-M_alt 'C 1 2/m 1'
_space_group_IT_number 12
_space_group_name_Hall '-C 2y'
loop_
_atom_site_label
_atom_site_type_symbol
_atom_site_fract_x
_atom_site_fract_y
_atom_site_fract_z
_atom_site_occupancy
Cu1 Cu 0.1400 0.0000 0.3145 1
Ge1 Ge 0.1175 0.0000 0.7960 1
N1 N 0.2353 0.5000 0.8162 1
```

Peak list (8 most intense, 2θ from 10° to 90°, low angle first)
2θ/deg  intensity
27.57  43
30.60  100
33.54  59
36.13  41
41.10  81
42.54  34
43.19  41
53.41  45